Computed PXRD pattern of Sr3CdIrO6 for Cu Kα (weighted mean of Kα1 and Kα2), from a cell relaxed with PBE.

Top 6 peaks for 10° ≤ 2θ ≤ 80°, low angle first:
d 4.854, I = 62
d 3.069, I = 32
d 2.803, I = 100
d 2.426, I = 32
d 2.170, I = 43
d 1.618, I = 38

Structure:
```
Sr3CdIrO6
1.0
4.8554 2.8032 3.9595
-4.8554 2.8032 3.9595
0.0000 -5.6065 3.9595
Sr Cd Ir O
6 2 2 12
Cartesian
-3.0986 0.2395 4.9493
-1.7567 -2.5638 6.9291
1.3419 -2.8032 4.9493
-1.3419 2.8032 6.9291
1.7567 2.5638 4.9493
3.0986 -0.2395 6.9291
0.0000 0.0000 2.9696
0.0000 0.0000 8.9088
0.0000 0.0000 0.0000
0.0000 0.0000 5.9392
-4.1981 -1.3086 6.6742
-0.9658 -4.2900 5.2042
-0.9658 -1.3165 4.6945
-3.2323 2.9814 5.2042
-0.6573 1.4946 4.6945
-1.6230 0.1781 7.1839
1.6230 -0.1781 4.6945
0.6572 -1.4946 7.1839
3.2323 -2.9814 6.6742
0.9658 1.3165 7.1839
0.9658 4.2900 6.6742
4.1981 1.3086 5.2042
```